The following is a simulated powder diffractogram of Na2Mg2P. It was derived from DFT lattice parameters and positions (GGA-PBE), using copper Kα.

Main lines, in order of rising 2θ (2θ = 10–90°):
- 16.19 deg, I = 19
- 24.56 deg, I = 13
- 30.83 deg, I = 19
- 32.71 deg, I = 40
- 33.56 deg, I = 100
- 41.76 deg, I = 31
- 45.07 deg, I = 10
- 54.03 deg, I = 28
- 58.10 deg, I = 14
- 58.93 deg, I = 18

Atomic structure:
```
data_Na2Mg2P
_space_group_name_H-M_alt 'P 4/m b m'
_space_group_IT_number 127
_space_group_name_Hall '-P 4 2ab'
_cell_length_a 6.8399
_cell_length_b 6.8399
_cell_length_c 5.4750
_cell_angle_alpha 90.00
_cell_angle_beta 90.00
_cell_angle_gamma 90.00
loop_
_atom_site_label
_atom_site_fract_x
_atom_site_fract_y
_atom_site_fract_z
Na1 0.1717 0.3283 0.0000
Mg1 0.1505 0.6505 0.5000
P1 0.0000 0.0000 0.5000
```